1.
The following is a computed powder diffractogram of BaTi2Bi2O. It was derived from a crystal structure in the Materials Project, relaxed with PBE, using Cu Kα (weighted mean of Kα1 and Kα2).
Neutral-atom scattering factors, no anomalous dispersion.

Peak list (8 most intense, 10° ≤ 2θ ≤ 90°, most intense first)
2θ (°)  I (rel.)
29.88  1000
54.10  384
30.73  321
44.02  294
21.59  235
37.16  232
62.07  182
52.50  148

Crystal structure
Cell: 4.115 4.115 8.707 Å, 90.00 90.00 90.00°
Space group P4/mmm (No. 123)
Unique sites:
Ba  0.000  0.000  0.000 (multiplicity 1)
Ti  0.000  0.500  0.500 (multiplicity 2)
Bi  0.500  0.500  0.252 (multiplicity 2)
O  0.000  0.000  0.500 (multiplicity 1)

=====

2.
The following is a computed powder diffractogram of PrEuCuS3. It was derived from a crystal structure in the Materials Project, relaxed with PBE, using Cu Kα (weighted mean of Kα1 and Kα2).
Neutral-atom scattering factors, no anomalous dispersion.

Peak list (8 most intense, 10° ≤ 2θ ≤ 90°, most intense first)
2θ (°)  I (rel.)
27.80  1000
33.30  636
24.72  510
31.25  475
44.77  463
25.24  452
25.10  446
31.77  433

Crystal structure
Cell: 8.093 4.049 15.786 Å, 90.00 90.00 90.00°
Space group Pnma (No. 62)
Unique sites:
Pr  0.249  0.250  0.041 (multiplicity 4)
Eu  0.088  0.750  0.284 (multiplicity 4)
Cu  0.117  0.750  0.867 (multiplicity 4)
S  0.010  0.750  0.098 (multiplicity 4)
S  0.121  0.250  0.432 (multiplicity 4)
S  0.180  0.750  0.720 (multiplicity 4)

=====

3.
The following is a computed powder diffractogram of K3VS4. It was derived from a crystal structure in the Materials Project, relaxed with PBE, using Cu Kα (weighted mean of Kα1 and Kα2).
Neutral-atom scattering factors, no anomalous dispersion.

Peak list (8 most intense, 10° ≤ 2θ ≤ 90°, most intense first)
2θ (°)  I (rel.)
31.64  1000
15.84  930
27.16  778
33.09  712
29.94  710
25.31  451
38.77  405
30.63  372

Crystal structure
Cell: 9.220 10.740 9.320 Å, 90.00 90.00 90.00°
Space group Pnma (No. 62)
Unique sites:
K  0.054  0.046  0.208 (multiplicity 8)
K  0.137  0.750  0.419 (multiplicity 4)
V  0.216  0.750  0.986 (multiplicity 4)
S  0.001  0.750  0.080 (multiplicity 4)
S  0.169  0.084  0.551 (multiplicity 8)
S  0.197  0.750  0.755 (multiplicity 4)

=====

4.
The following is a computed powder diffractogram of SrMg6V. It was derived from a crystal structure in the Materials Project, relaxed with PBE, using Cu Kα (weighted mean of Kα1 and Kα2).
Neutral-atom scattering factors, no anomalous dispersion.

Peak list (8 most intense, 10° ≤ 2θ ≤ 90°, most intense first)
2θ (°)  I (rel.)
35.63  1000
15.42  268
31.12  253
34.24  251
22.97  233
66.73  189
62.22  184
55.36  171

Crystal structure
Cell: 5.237 6.636 11.499 Å, 90.00 90.00 90.00°
Space group Amm2 (No. 38)
Unique sites:
Sr  0.000  0.000  0.000 (multiplicity 2)
Mg  0.000  0.000  0.494 (multiplicity 2)
Mg  0.000  0.237  0.247 (multiplicity 4)
Mg  0.500  0.000  0.665 (multiplicity 2)
Mg  0.500  0.236  0.409 (multiplicity 4)
V  0.500  0.000  0.175 (multiplicity 2)

=====

What did the third record say?
The following is a computed powder diffractogram of K3VS4. It was derived from a crystal structure in the Materials Project, relaxed with PBE, using Cu Kα (weighted mean of Kα1 and Kα2).
Neutral-atom scattering factors, no anomalous dispersion.

Peak list (8 most intense, 10° ≤ 2θ ≤ 90°, most intense first)
2θ (°)  I (rel.)
31.64  1000
15.84  930
27.16  778
33.09  712
29.94  710
25.31  451
38.77  405
30.63  372

Crystal structure
Cell: 9.220 10.740 9.320 Å, 90.00 90.00 90.00°
Space group Pnma (No. 62)
Unique sites:
K  0.054  0.046  0.208 (multiplicity 8)
K  0.137  0.750  0.419 (multiplicity 4)
V  0.216  0.750  0.986 (multiplicity 4)
S  0.001  0.750  0.080 (multiplicity 4)
S  0.169  0.084  0.551 (multiplicity 8)
S  0.197  0.750  0.755 (multiplicity 4)

=====

What is the formula in the second record?
PrEuCuS3